Structure and theoretical X-ray diffraction stick pattern of Li2NiHF6 (a cell relaxed with GGA+U; Cu Kα, 1.54184 Å).

The 10 most intense peaks (2θ from 10° to 90°), low angle first:
- d 6.682, rel. 100.0
- d 5.445, rel. 41.6
- d 4.232, rel. 77.0
- d 3.049, rel. 16.1
- d 2.848, rel. 44.6
- d 2.429, rel. 20.5
- d 2.311, rel. 14.0
- d 2.214, rel. 62.1
- d 2.189, rel. 15.4
- d 2.004, rel. 16.5

Structure:
a b c (Å): 7.0193 7.0193 4.7323
angles (deg): 100.76 100.76 101.74
Positions (direct):
Li 0.0440 0.2522 0.1442
Li 0.2522 0.0440 0.6442
Li 0.7478 0.9560 0.3558
Li 0.9560 0.7478 0.8558
Ni 0.4178 0.5822 0.7500
Ni 0.5822 0.4178 0.2500
H 0.2781 0.7219 0.2500
H 0.7219 0.2781 0.7500
F 0.0194 0.1499 0.5362
F 0.1499 0.0194 0.0362
F 0.2007 0.6512 0.9974
F 0.3053 0.4103 0.3547
F 0.3488 0.7993 0.5026
F 0.4103 0.3053 0.8547
F 0.5897 0.6947 0.1453
F 0.6512 0.2007 0.4974
F 0.6947 0.5897 0.6453
F 0.7993 0.3488 0.0026
F 0.8501 0.9806 0.9638
F 0.9806 0.8501 0.4638